Entry 1:
This entry pairs a crystal structure of HoNi8Pt3 with its computed PXRD pattern. Radiation: Cu Ka. Structure: a structure optimized by DFT (PBE).
No peak broadening, texture or thermal motion is included.

Peak list (12 most intense, 2θ = 10–90°, by angle)
d (Å)  I/Imax
4.172  17
2.849  14
2.409  70
2.207  100
2.086  16
2.049  97
2.015  52
1.461  17
1.348  40
1.310  22
1.249  26
1.204  22

Crystal structure
```
data_HoNi8Pt3
_cell_length_a 4.8177
_cell_length_b 4.8177
_cell_length_c 7.8003
_cell_angle_alpha 90.00
_cell_angle_beta 90.00
_cell_angle_gamma 120.00
_space_group_name_H-M_alt 'P 3 m 1'
_space_group_IT_number 156
_space_group_name_Hall 'P 3 -2"'
loop_
_atom_site_label
_atom_site_fract_x
_atom_site_fract_y
_atom_site_fract_z
_atom_site_occupancy
Ho1 0.0000 0.0000 0.0000 1
Ni1 0.1652 0.3304 0.6777 1
Ni2 0.3333 0.6667 0.4309 1
Ni3 0.3333 0.6667 0.9306 1
Ni4 0.5028 0.0057 0.1921 1
Pt1 0.0000 0.0000 0.3789 1
Pt2 0.6667 0.3333 0.4994 1
Pt3 0.6667 0.3333 0.8686 1
```

=====

Entry 2:
This entry pairs a crystal structure of CsHfBi4 with its computed PXRD pattern. Radiation: Cu Ka. Structure: a structure optimized by DFT (PBE).
No peak broadening, texture or thermal motion is included.

Peak list (12 most intense, 2θ = 10–90°, by angle)
d (Å)  I/Imax
8.760  100
3.568  21
3.151  89
3.101  55
2.805  22
2.685  31
2.626  26
2.468  19
2.288  34
2.140  19
1.467  19
1.326  17

Crystal structure
```
data_CsHfBi4
_cell_length_a 5.3664
_cell_length_b 9.8721
_cell_length_c 18.9952
_cell_angle_alpha 90.00
_cell_angle_beta 90.00
_cell_angle_gamma 90.00
_space_group_name_H-M_alt 'I m m m'
_space_group_IT_number 71
_space_group_name_Hall '-I 2 2'
loop_
_atom_site_label
_atom_site_fract_x
_atom_site_fract_y
_atom_site_fract_z
_atom_site_occupancy
Cs1 0.0000 0.0000 0.1882 1
Hf1 0.2494 0.5000 0.0000 1
Bi1 0.0000 0.2041 0.3955 1
Bi2 0.0000 0.2140 0.0000 1
Bi3 0.0000 0.5000 0.1478 1
```

=====

Entry 3:
This entry pairs a crystal structure of Sr6Ag2Rh with its computed PXRD pattern. Radiation: Cu Ka. Structure: a structure optimized by DFT (PBE).
No peak broadening, texture or thermal motion is included.

Peak list (12 most intense, 2θ = 10–90°, by angle)
d (Å)  I/Imax
6.732  39
6.125  39
3.504  43
3.364  35
3.270  40
3.246  100
3.069  36
3.062  82
3.053  37
2.775  45
2.740  37
2.655  62

Crystal structure
```
data_Sr6Ag2Rh
_cell_length_a 7.4041
_cell_length_b 8.5310
_cell_length_c 13.1949
_cell_angle_alpha 90.00
_cell_angle_beta 123.84
_cell_angle_gamma 90.00
_space_group_name_H-M_alt 'P 1 21/c 1'
_space_group_IT_number 14
_space_group_name_Hall '-P 2ybc'
loop_
_atom_site_label
_atom_site_fract_x
_atom_site_fract_y
_atom_site_fract_z
_atom_site_occupancy
Sr1 0.1076 0.1682 0.4381 1
Sr2 0.2819 0.6915 0.4382 1
Sr3 0.3888 0.0368 0.2517 1
Ag1 0.2013 0.1158 0.7558 1
Rh1 0.5000 0.0000 0.5000 1
```